SrFe3P4O14: simulated X-ray powder pattern (Cu Kα (weighted mean of Kα1 and Kα2)), based on a cell relaxed with GGA+U.
Lines closer than 0.1° are merged.

Peak list (10 most intense, 2θ = 10–80°, by angle)
- hkl 0 2 0, 2θ 22.61, I = 35
- hkl 1 2 0, 2θ 25.89, I = 64
- hkl 2 1 -2, 2θ 27.90, I = 51
- hkl 1 2 1, 2θ 29.50, I = 100
- hkl 1 1 -3, 2θ 29.90, I = 38
- hkl 0 1 3, 2θ 31.99, I = 34
- hkl 2 1 1, 2θ 32.52, I = 57
- hkl 2 1 -3, 2θ 33.04, I = 47
- hkl 3 0 -2, 2θ 35.64, I = 81
- hkl 2 4 0, 2θ 53.25, I = 36

Structural model:
```
data_SrFe3P4O14
_space_group_name_H-M_alt 'P 1 21/c 1'
_space_group_IT_number 14
_space_group_name_Hall '-P 2ybc'
_cell_length_a 7.660
_cell_length_b 7.866
_cell_length_c 9.702
_cell_angle_alpha 90.00
_cell_angle_beta 112.23
_cell_angle_gamma 90.00
loop_
_atom_site_label
_atom_site_type_symbol
_atom_site_fract_x
_atom_site_fract_y
_atom_site_fract_z
Sr1 Sr 0.000 0.000 0.000
Fe1 Fe 0.311 0.123 0.472
Fe2 Fe 0.500 0.000 0.000
P1 P 0.104 0.055 0.704
P2 P 0.388 0.704 0.193
O1 O 0.095 0.511 0.805
O2 O 0.119 0.179 0.589
O3 O 0.185 0.628 0.179
O4 O 0.225 0.111 0.866
O5 O 0.340 0.627 0.610
O6 O 0.472 0.578 0.113
O7 O 0.500 0.214 0.139
```